No. 1
Structure and computed X-ray powder pattern of BiOF3 (DFT lattice parameters and positions (PBE); a wavelength of 1.5418 Å).
Lines closer than 0.1° are merged.

Principal peaks in the range 15° ≤ 2θ ≤ 90°, by angle:
d (Å)	2θ (°)	I_rel
4.849	18.3	100
4.146	21.4	72
3.914	22.7	29
3.618	24.6	43
3.280	27.2	36
3.208	27.8	58
3.133	28.5	35
2.941	30.4	23
2.604	34.4	52
2.474	36.3	34
2.387	37.7	22
1.962	46.3	37

Structure:
```
data_BiOF3
_cell_length_a 4.168
_cell_length_b 14.829
_cell_length_c 6.445
_cell_angle_alpha 90.00
_cell_angle_beta 95.92
_cell_angle_gamma 90.00
_symmetry_space_group_name_H-M 'P 1 21/c 1'
_symmetry_Int_Tables_number 14
loop_
_symmetry_equiv_pos_as_xyz
'x,y,z'
'-x,-y,-z'
'-x,y+1/2,-z+1/2'
'x,-y+1/2,z+1/2'
loop_
_atom_site_label
_atom_site_fract_x
_atom_site_fract_y
_atom_site_fract_z
Bi1 0.019 0.183 0.319
O1 0.120 0.011 0.059
F1 0.195 0.189 0.663
F2 0.238 0.710 0.530
F3 0.444 0.611 0.169
```

***

No. 2
Structure and computed X-ray powder pattern of Bi4O3F7 (DFT lattice parameters and positions (PBE); a wavelength of 1.5418 Å).
Lines closer than 0.1° are merged.

Principal peaks in the range 15° ≤ 2θ ≤ 90°, by angle:
d (Å)	2θ (°)	I_rel
3.442	25.9	61
3.378	26.4	59
3.256	27.4	100
2.884	31.0	100
2.115	42.8	20
2.053	44.1	36
2.025	44.8	36
1.973	46.0	22
1.782	51.3	22
1.764	51.8	30
1.712	53.5	18
1.704	53.8	18

Structure:
```
data_Bi4O3F7
_cell_length_a 5.764
_cell_length_b 3.946
_cell_length_c 8.460
_cell_angle_alpha 90.00
_cell_angle_beta 91.13
_cell_angle_gamma 90.00
_symmetry_space_group_name_H-M 'P 1 m 1'
_symmetry_Int_Tables_number 6
loop_
_symmetry_equiv_pos_as_xyz
'x,y,z'
'x,-y,z'
loop_
_atom_site_label
_atom_site_fract_x
_atom_site_fract_y
_atom_site_fract_z
Bi1 0.000 0.000 0.000
Bi2 0.003 0.000 0.485
Bi3 0.430 0.500 0.249
Bi4 0.486 0.500 0.752
O1 0.182 0.000 0.246
O2 0.257 0.500 0.488
O3 0.259 0.500 0.005
F1 0.194 0.000 0.745
F2 0.589 0.000 0.914
F3 0.603 0.000 0.607
F4 0.652 0.000 0.262
F5 0.783 0.500 0.432
F6 0.802 0.500 0.096
F7 0.875 0.500 0.775
```

***

No. 3
Structure and computed X-ray powder pattern of Bi3O4F (DFT lattice parameters and positions (PBE); a wavelength of 1.5418 Å).
Lines closer than 0.1° are merged.

Principal peaks in the range 15° ≤ 2θ ≤ 90°, by angle:
d (Å)	2θ (°)	I_rel
5.094	17.4	61
3.427	26.0	93
3.334	26.7	67
3.109	28.7	85
2.889	30.9	65
2.779	32.2	100
2.652	33.8	74
2.641	33.9	41
2.486	36.1	77
2.373	37.9	58
1.762	51.9	36
1.678	54.7	39

Structure:
```
data_Bi3O4F
_cell_length_a 17.470
_cell_length_b 3.540
_cell_length_c 10.031
_cell_angle_alpha 90.00
_cell_angle_beta 113.81
_cell_angle_gamma 90.00
_symmetry_space_group_name_H-M 'C 1 2/m 1'
_symmetry_Int_Tables_number 12
loop_
_symmetry_equiv_pos_as_xyz
'x,y,z'
'-x,-y,-z'
'-x,y,-z'
'x,-y,z'
'x+1/2,y+1/2,z'
'-x+1/2,-y+1/2,-z'
'-x+1/2,y+1/2,-z'
'x+1/2,-y+1/2,z'
loop_
_atom_site_label
_atom_site_fract_x
_atom_site_fract_y
_atom_site_fract_z
Bi1 0.086 0.000 0.442
Bi2 0.147 0.000 0.914
Bi3 0.198 0.500 0.257
O1 0.116 0.000 0.254
O2 0.117 0.500 0.024
O3 0.170 0.500 0.504
O4 0.243 0.500 0.877
F1 0.025 0.500 0.679
```